Computed powder diffractogram of ScFe3O8 for λ = 1.5418 Å (Cu Kα), from a structure optimized by DFT (PBE+U).
Neutral-atom scattering factors, no anomalous dispersion.

Atomic structure:
```
data_ScFe3O8
_cell_length_a 9.998
_cell_length_b 5.867
_cell_length_c 6.294
_cell_angle_alpha 90.00
_cell_angle_beta 124.79
_cell_angle_gamma 90.00
_space_group_name_H-M_alt 'C 1 2/m 1'
_space_group_IT_number 12
loop_
_space_group_symop_operation_xyz
'x,y,z'
'-x,-y,-z'
'-x,y,-z'
'x,-y,z'
'x+1/2,y+1/2,z'
'-x+1/2,-y+1/2,-z'
'-x+1/2,y+1/2,-z'
'x+1/2,-y+1/2,z'
loop_
_atom_site_label
_atom_site_type_symbol
_atom_site_fract_x
_atom_site_fract_y
_atom_site_fract_z
Sc1 Sc 0.000 0.000 0.000
Fe1 Fe 0.000 0.000 0.500
Fe2 Fe 0.120 0.500 0.380
O1 O 0.001 0.229 0.262
O2 O 0.240 0.000 0.714
O3 O 0.246 0.500 0.722
```

Main lines, most intense first (2θ = 5–70°):
2θ 17.15, I = 100, hkl 0 0 1; 2θ 30.47, I = 83, hkl 0 2 0; 2θ 34.85, I = 83, hkl 3 1 -2; 2θ 33.51, I = 76, hkl 1 1 -2; 2θ 36.22, I = 70, hkl 3 1 0; 2θ 30.89, I = 56, hkl 3 1 -1; 2θ 21.65, I = 50, hkl 2 0 0; 2θ 60.95, I = 41, hkl 2 2 2; 2θ 29.38, I = 38, hkl 1 1 1; 2θ 64.36, I = 35, hkl 6 2 -2